Computed powder X-ray diffraction pattern
Compound: Tb2ErPd9
Radiation: Cu Kα (weighted mean of Kα1 and Kα2)
Structure: a crystal structure in Alexandria, relaxed with PBE
Intensities are scaled so that the largest is 100.

Principal peaks in the range 2θ from 5° to 70°, by angle:
2θ/deg  I (rel.)  hkl
21.55  3  0 0 3
30.66  3  1 1 0
37.79  100  1 1 3
43.91  49  2 0 0
49.42  2  2 0 3
63.84  32  2 2 0

Structural model:
Cell lengths 4.1240, 4.1240, 12.3691 Å; angles 90.00, 90.00, 90.00 degrees
Space group P4/mmm (No. 123)
Unique sites:
Tb (0.0000, 0.0000, 0.1680)
Er (0.0000, 0.0000, 0.5000)
Pd (0.0000, 0.5000, 0.0000)
Pd (0.0000, 0.5000, 0.3353)
Pd (0.5000, 0.5000, 0.1672)
Pd (0.5000, 0.5000, 0.5000)

***

Computed powder X-ray diffraction pattern
Compound: PmNd2Y5
Radiation: Cu Kα (weighted mean of Kα1 and Kα2)
Structure: a crystal structure in Alexandria, relaxed with PBE
Intensities are scaled so that the largest is 100.

Principal peaks in the range 2θ from 5° to 70°, by angle:
2θ/deg  I (rel.)  hkl
17.75  21  0 2 0
28.94  18  5 1 0
30.09  14  4 2 -1
30.28  18  5 1 -1
30.99  100  1 3 1
55.13  16  0 6 0

Structural model:
Cell lengths 16.3936, 10.0014, 6.5911 Å; angles 90.00, 98.35, 90.00 degrees
Space group C2/c (No. 15)
Unique sites:
Pm (0.2500, 0.2500, 0.0000)
Nd (0.0787, 0.2464, 0.1186)
Y (0.0000, 0.4402, 0.7500)
Y (0.0990, 0.0886, 0.6453)
Y (0.1976, 0.4112, 0.5255)

***

Computed powder X-ray diffraction pattern
Compound: Pm2Y3Er6
Radiation: Cu Kα (weighted mean of Kα1 and Kα2)
Structure: a crystal structure in Alexandria, relaxed with PBE
Intensities are scaled so that the largest is 100.

Principal peaks in the range 2θ from 5° to 70°, by angle:
2θ/deg  I (rel.)  hkl
10.75  28  0 0 4
28.82  100  1 1 4
34.56  94  1 1 8
38.06  60  2 0 0
50.99  27  2 0 12
66.53  28  3 1 8

Structural model:
Cell lengths 4.7285, 4.7285, 32.9218 Å; angles 90.00, 90.00, 90.00 degrees
Space group I4/mmm (No. 139)
Unique sites:
Pm (0.0000, 0.0000, 0.0461)
Y (0.0000, 0.0000, 0.2970)
Y (0.0000, 0.0000, 0.5000)
Er (0.0000, 0.0000, 0.1926)
Er (0.0000, 0.5000, 0.1210)

***

Computed powder X-ray diffraction pattern
Compound: CePr2Se4
Radiation: Cu Kα (weighted mean of Kα1 and Kα2)
Structure: a crystal structure in Alexandria, relaxed with PBE
Intensities are scaled so that the largest is 100.

Principal peaks in the range 2θ from 5° to 70°, by angle:
2θ/deg  I (rel.)  hkl
12.82  26  1 0 1
29.65  100  2 2 0
30.16  48  0 0 4
42.80  73  2 2 4
52.84  19  0 4 4
53.03  19  4 0 4

Structural model:
Cell lengths 8.5011, 8.5431, 11.8518 Å; angles 90.00, 90.00, 90.00 degrees
Space group Imma (No. 74)
Unique sites:
Ce (0.2500, 0.2500, 0.2500)
Pr (0.0000, 0.0000, 0.0000)
Pr (0.2500, 0.2500, 0.7500)
Se (0.0000, 0.0023, 0.2545)
Se (0.2456, 0.2500, 0.0019)

***

Computed powder X-ray diffraction pattern
Compound: Y2ZrCl
Radiation: Cu Kα (weighted mean of Kα1 and Kα2)
Structure: a crystal structure in Alexandria, relaxed with PBE
Intensities are scaled so that the largest is 100.

Principal peaks in the range 2θ from 5° to 70°, by angle:
2θ/deg  I (rel.)  hkl
31.80  100  1 0 4
37.62  18  0 0 12
38.68  55  0 1 8
51.75  24  1 1 0
59.80  17  1 0 16
65.72  20  1 1 12

Structural model:
Cell lengths 3.5329, 3.5329, 28.6946 Å; angles 90.00, 90.00, 120.00 degrees
Space group R-3m (No. 166, hexagonal axes)
Unique sites:
Y (0.0000, 0.0000, 0.2433)
Zr (0.0000, 0.0000, 0.0000)
Cl (0.0000, 0.0000, 0.5000)

***

Computed powder X-ray diffraction pattern
Compound: Ac2Ga4Pd5
Radiation: Cu Kα (weighted mean of Kα1 and Kα2)
Structure: a crystal structure in Alexandria, relaxed with PBE
Intensities are scaled so that the largest is 100.

Principal peaks in the range 2θ from 5° to 70°, by angle:
2θ/deg  I (rel.)  hkl
24.65  38  1 1 3
29.12  40  0 2 4
31.48  24  1 3 1
35.61  100  2 2 0
38.60  51  2 0 4
42.73  21  1 3 5

Structural model:
Cell lengths 5.8319, 9.9829, 15.5428 Å; angles 90.00, 90.00, 90.00 degrees
Space group Fmmm (No. 69)
Unique sites:
Ac (0.0000, 0.0000, 0.1355)
Ga (0.0000, 0.1587, 0.3721)
Pd (0.0000, 0.0000, 0.5000)
Pd (0.2500, 0.2500, 0.0000)
Pd (0.2500, 0.2500, 0.2500)

***

Repeat the sixth record exactly.
Computed powder X-ray diffraction pattern
Compound: Ac2Ga4Pd5
Radiation: Cu Kα (weighted mean of Kα1 and Kα2)
Structure: a crystal structure in Alexandria, relaxed with PBE
Intensities are scaled so that the largest is 100.

Principal peaks in the range 2θ from 5° to 70°, by angle:
2θ/deg  I (rel.)  hkl
24.65  38  1 1 3
29.12  40  0 2 4
31.48  24  1 3 1
35.61  100  2 2 0
38.60  51  2 0 4
42.73  21  1 3 5

Structural model:
Cell lengths 5.8319, 9.9829, 15.5428 Å; angles 90.00, 90.00, 90.00 degrees
Space group Fmmm (No. 69)
Unique sites:
Ac (0.0000, 0.0000, 0.1355)
Ga (0.0000, 0.1587, 0.3721)
Pd (0.0000, 0.0000, 0.5000)
Pd (0.2500, 0.2500, 0.0000)
Pd (0.2500, 0.2500, 0.2500)